Structure and simulated powder X-ray diffraction pattern of LiZnP2 (a crystal structure in Alexandria, relaxed with PBE; CuKα).

abc: 4.5396 4.5396 5.4675
angles: 114.43 114.43 41.62
Positions (direct):
Li 0.0000 0.0000 0.0000
Zn 0.5000 0.5000 0.5000
P 0.2328 0.2328 0.8358
P 0.7672 0.7672 0.1642

Top 10 peaks for 2θ = 10–80°, low angle first:
two_theta, d (Å), I (rel.)
22.35, 3.977, 100
30.09, 2.970, 27
33.60, 2.667, 25
35.70, 2.515, 18
38.04, 2.366, 70
42.59, 2.123, 39
43.63, 2.075, 40
45.49, 1.994, 18
47.80, 1.903, 18
62.82, 1.479, 14